[1]
# Na3VPCO7
Computed powder diffractogram, λ = 1.5418 Å (Cu Kα). Input: a DFT-relaxed cell (GGA+U, Alexandria).
Neutral-atom scattering factors, no anomalous dispersion.

Cell: 5.2699 6.8248 8.9900 Å, 90.00 91.71 90.00°
Space group P2_1/m (No. 11)
One atom of each set of equivalent atoms:
Na  0.2282  0.2500  0.0835 [2 per cell]
Na  0.2557  0.5095  0.7273 [4 per cell]
V  0.2211  0.7500  0.3446 [2 per cell]
P  0.2853  0.2500  0.4129 [2 per cell]
C  0.2865  0.7500  0.0578 [2 per cell]
O  0.0619  0.7500  0.1157 [2 per cell]
O  0.1539  0.2500  0.5647 [2 per cell]
O  0.2082  0.0678  0.3169 [4 per cell]
O  0.3126  0.7500  0.9157 [2 per cell]
O  0.4208  0.7500  0.5590 [2 per cell]
O  0.4839  0.7500  0.1499 [2 per cell]

Largest 10 diffraction maxima, by angle, 5° ≤ 2θ ≤ 70°:
| two_theta | d (Å) | I/Imax | h k l |
| --- | --- | --- | --- |
| 9.84 | 8.986 | 76 | 0 0 1 |
| 19.28 | 4.605 | 22 | 1 0 -1 |
| 19.78 | 4.488 | 28 | 1 0 1 |
| 26.11 | 3.412 | 91 | 0 2 0 |
| 32.66 | 2.742 | 53 | 1 2 -1 |
| 32.97 | 2.717 | 100 | 0 2 2 |
| 34.02 | 2.635 | 94 | 2 0 0 |
| 41.39 | 2.181 | 26 | 2 1 -2 |
| 48.54 | 1.876 | 55 | 0 2 4 |
| 53.75 | 1.706 | 44 | 0 4 0 |

[2]
# NaVPCO7
Computed powder diffractogram, λ = 1.5418 Å (Cu Kα). Input: a DFT-relaxed cell (GGA+U, Alexandria).
Neutral-atom scattering factors, no anomalous dispersion.

Cell: 5.3146 6.4130 8.9972 Å, 90.00 91.16 90.00°
Space group P2_1/m (No. 11)
One atom of each set of equivalent atoms:
Na  0.1371  0.2500  0.0981 [2 per cell]
V  0.2293  0.7500  0.3400 [2 per cell]
P  0.2644  0.2500  0.4321 [2 per cell]
C  0.3616  0.7500  0.0808 [2 per cell]
O  0.0766  0.2500  0.5623 [2 per cell]
O  0.1200  0.7500  0.1200 [2 per cell]
O  0.2173  0.0600  0.3301 [4 per cell]
O  0.4322  0.7500  0.9503 [2 per cell]
O  0.4666  0.7500  0.5018 [2 per cell]
O  0.4896  0.2500  0.7991 [2 per cell]

Largest 10 diffraction maxima, by angle, 5° ≤ 2θ ≤ 70°:
| two_theta | d (Å) | I/Imax | h k l |
| --- | --- | --- | --- |
| 9.83 | 8.995 | 66 | 0 0 1 |
| 16.98 | 5.222 | 35 | 0 1 1 |
| 19.23 | 4.616 | 74 | 1 0 -1 |
| 19.57 | 4.535 | 93 | 1 0 1 |
| 25.69 | 3.468 | 19 | 1 0 -2 |
| 27.82 | 3.207 | 100 | 0 2 0 |
| 29.75 | 3.003 | 20 | 1 1 2 |
| 34.04 | 2.634 | 19 | 1 0 -3 |
| 34.30 | 2.614 | 19 | 0 2 2 |
| 52.84 | 1.733 | 17 | 2 0 -4 |

[3]
# Na4V2PC4O16
Computed powder diffractogram, λ = 1.5418 Å (Cu Kα). Input: a DFT-relaxed cell (GGA+U, Alexandria).
Neutral-atom scattering factors, no anomalous dispersion.

Cell: 13.8518 13.8746 14.6091 Å, 90.00 90.00 90.00°
Space group Fddd (No. 70, origin choice 2)
One atom of each set of equivalent atoms:
Na  0.0846  0.3750  0.3750 [16 per cell]
Na  0.1250  0.3358  0.1250 [16 per cell]
V  0.0000  0.0000  0.5000 [16 per cell]
P  0.1250  0.1250  0.1250 [8 per cell]
C  0.0323  0.0356  0.7072 [32 per cell]
O  0.0128  0.1060  0.7631 [32 per cell]
O  0.0228  0.2721  0.8870 [32 per cell]
O  0.0599  0.0594  0.0652 [32 per cell]
O  0.1034  0.2723  0.5258 [32 per cell]

Largest 10 diffraction maxima, by angle, 5° ≤ 2θ ≤ 70°:
| two_theta | d (Å) | I/Imax | h k l |
| --- | --- | --- | --- |
| 10.87 | 8.140 | 95 | 1 1 1 |
| 17.64 | 5.028 | 90 | 0 2 2 |
| 20.36 | 4.361 | 79 | 1 1 3 |
| 21.16 | 4.199 | 89 | 3 1 1 |
| 31.96 | 2.800 | 47 | 1 1 5 |
| 33.01 | 2.713 | 28 | 3 3 3 |
| 33.53 | 2.673 | 100 | 5 1 1 |
| 35.72 | 2.514 | 55 | 4 0 4 |
| 46.75 | 1.943 | 33 | 7 1 1 |
| 56.50 | 1.629 | 45 | 5 5 5 |